1.
KCaH3: theoretical powder diffractogram (a wavelength of 1.5418 Å), based on a crystal structure in the Materials Project, relaxed with GGA-PBE.
Intensities are scaled so that the largest is 100.

The 6 most intense peaks (5° ≤ 2θ ≤ 70°), in order of rising 2θ:
| 2θ/deg | I (rel.) |
| --- | --- |
| 28.25 | 100.0 |
| 40.39 | 19.5 |
| 50.02 | 35.5 |
| 58.43 | 9.2 |
| 58.49 | 1.9 |
| 66.16 | 13.7 |

Structural model:
```
data_KCaH3
_chemical_formula_sum 'K4 Ca4 H12'
_symmetry_space_group_name_H-M 'P n m a'
_symmetry_Int_Tables_number 62
_symmetry_space_group_name_Hall '-P 2ac 2n'
_cell_length_a 6.323
_cell_length_b 8.933
_cell_length_c 6.312
_cell_angle_alpha 90.00
_cell_angle_beta 90.00
_cell_angle_gamma 90.00
loop_
_atom_site_label
_atom_site_fract_x
_atom_site_fract_y
_atom_site_fract_z
K1 0.016 0.250 0.003
Ca1 0.000 0.000 0.500
H1 0.014 0.750 0.444
H2 0.222 0.530 0.778
```

2.
K2AlOF5: theoretical powder diffractogram (a wavelength of 1.5418 Å), based on a crystal structure in the Materials Project, relaxed with GGA-PBE.
Intensities are scaled so that the largest is 100.

The 10 most intense peaks (5° ≤ 2θ ≤ 70°), in order of rising 2θ:
| 2θ/deg | I (rel.) |
| --- | --- |
| 14.62 | 69.2 |
| 27.91 | 23.0 |
| 29.48 | 22.8 |
| 30.30 | 27.6 |
| 32.94 | 21.1 |
| 37.88 | 38.2 |
| 38.13 | 100.0 |
| 46.16 | 22.8 |
| 48.37 | 24.5 |
| 63.03 | 12.2 |

Structural model:
```
data_K2AlOF5
_chemical_formula_sum 'K8 Al4 O4 F20'
_symmetry_space_group_name_H-M 'C m c m'
_symmetry_Int_Tables_number 63
_symmetry_space_group_name_Hall '-C 2c 2'
_cell_length_a 9.501
_cell_length_b 7.867
_cell_length_c 7.526
_cell_angle_alpha 90.00
_cell_angle_beta 90.00
_cell_angle_gamma 90.00
loop_
_atom_site_label
_atom_site_fract_x
_atom_site_fract_y
_atom_site_fract_z
K1 0.231 0.229 0.250
Al1 0.000 0.500 0.000
O1 0.000 0.044 0.750
F1 0.000 0.271 0.525
F2 0.000 0.466 0.250
F3 0.191 0.500 0.000
```

3.
Tl3Fe: theoretical powder diffractogram (a wavelength of 1.5418 Å), based on a crystal structure in the Materials Project, relaxed with GGA-PBE.
Intensities are scaled so that the largest is 100.

The 10 most intense peaks (5° ≤ 2θ ≤ 70°), in order of rising 2θ:
| 2θ/deg | I (rel.) |
| --- | --- |
| 19.46 | 13.1 |
| 27.66 | 11.4 |
| 34.04 | 100.0 |
| 39.51 | 50.1 |
| 44.41 | 6.7 |
| 48.91 | 5.2 |
| 57.11 | 34.5 |
| 60.93 | 3.5 |
| 64.61 | 2.4 |
| 68.19 | 40.7 |

Structural model:
```
data_Tl3Fe
_chemical_formula_sum 'Tl3 Fe1'
_symmetry_space_group_name_H-M 'P m -3 m'
_symmetry_Int_Tables_number 221
_symmetry_space_group_name_Hall '-P 4 2 3'
_cell_length_a 4.561
_cell_length_b 4.561
_cell_length_c 4.561
_cell_angle_alpha 90.00
_cell_angle_beta 90.00
_cell_angle_gamma 90.00
loop_
_atom_site_label
_atom_site_fract_x
_atom_site_fract_y
_atom_site_fract_z
Tl1 0.000 0.000 0.500
Fe1 0.500 0.500 0.500
```